For FeC3N3O2, the PBE+U geometry in Alexandria gives the computed powder XRD pattern in this record (a wavelength of 1.5418 Å).

Crystal structure
```
data_FeC3N3O2
_chemical_formula_sum 'Fe8 C24 N24 O16'
_cell_length_a 10.1638
_cell_length_b 10.1638
_cell_length_c 10.1638
_cell_angle_alpha 90.00
_cell_angle_beta 90.00
_cell_angle_gamma 90.00
_space_group_name_H-M_alt 'F -4 3 m'
_space_group_IT_number 216
_space_group_name_Hall 'F -4 2 3'
loop_
_atom_site_label
_atom_site_type_symbol
_atom_site_fract_x
_atom_site_fract_y
_atom_site_fract_z
Fe1 Fe 0.0000 0.0000 0.0000
Fe2 Fe 0.0000 0.0000 0.5000
C1 C 0.0000 0.0000 0.1910
N1 N 0.0000 0.0000 0.3062
O1 O 0.1874 0.1874 0.1874
```

Main lines, by intensity (15° ≤ 2θ ≤ 90°):
| 2θ (°) | I (rel.) | index |
| --- | --- | --- |
| 17.45 | 100.0 | 2 0 0 |
| 24.78 | 71.9 | 2 2 0 |
| 39.66 | 45.3 | 4 2 0 |
| 35.32 | 42.0 | 4 0 0 |
| 15.10 | 32.3 | 1 1 1 |
| 54.14 | 26.5 | 6 0 0 |
| 50.82 | 16.5 | 4 4 0 |
| 66.32 | 15.6 | 6 4 0 |
| 69.17 | 11.6 | 6 4 2 |
| 77.43 | 11.5 | 6 4 4 |